Computed X-ray diffraction stick pattern
Compound: CsRbHgSb2
Radiation: Cu Kα (λ = 1.5418 Å)
Structure: DFT lattice parameters and positions (PBE)
Peak positions follow from Bragg's law for the DFT cell and can differ from measured ones.

Principal peaks in the range 10° ≤ 2θ ≤ 80°, in order of rising 2θ:
d_spacing, I_rel, (hkl)
5.599, 26, 0 1 1
4.222, 30, 0 1 3
3.585, 17, 1 1 0
3.335, 100, 1 1 2
3.093, 30, 0 1 5
2.942, 37, 0 2 0
2.833, 38, 1 0 5
2.261, 18, 2 0 0
2.041, 29, 1 2 5
1.793, 17, 2 2 0

Crystal structure
```
data_CsRbHgSb2
_chemical_formula_sum 'Cs2 Rb2 Hg2 Sb4'
_cell_length_a 4.522
_cell_length_b 5.885
_cell_length_c 18.179
_cell_angle_alpha 90.00
_cell_angle_beta 90.00
_cell_angle_gamma 90.00
_symmetry_space_group_name_H-M 'I m m 2'
_symmetry_Int_Tables_number 44
_symmetry_space_group_name_Hall 'I 2 -2'
loop_
_atom_site_label
_atom_site_type_symbol
_atom_site_fract_x
_atom_site_fract_y
_atom_site_fract_z
Cs1 Cs 0.000 0.000 0.000
Rb1 Rb 0.000 0.500 0.718
Hg1 Hg 0.000 0.000 0.392
Sb1 Sb 0.000 0.000 0.572
Sb2 Sb 0.000 0.500 0.172
```